No. 1
For LiMn3Pd6, a cell relaxed with GGA-PBE gives the calculated XRD peak list in this record (Cu Ka).
No peak broadening, texture or thermal motion is included.

Structure:
abc: 7.3982 4.4840 9.5465
angles: 90.00 109.90 90.00
Fractional positions:
Li  0.0455  0.2500  0.4156
Li  0.9545  0.7500  0.5844
Mn  0.2207  0.2500  0.0132
Mn  0.3663  0.7500  0.7834
Mn  0.4582  0.2500  0.6157
Mn  0.5418  0.7500  0.3843
Mn  0.6337  0.2500  0.2166
Mn  0.7793  0.7500  0.9868
Pd  0.0702  0.7500  0.8689
Pd  0.1524  0.2500  0.7052
Pd  0.1526  0.7500  0.1795
Pd  0.2506  0.7500  0.4916
Pd  0.3397  0.2500  0.3195
Pd  0.4613  0.7500  0.0811
Pd  0.5387  0.2500  0.9189
Pd  0.6603  0.7500  0.6805
Pd  0.7494  0.2500  0.5084
Pd  0.8474  0.2500  0.8205
Pd  0.8476  0.7500  0.2948
Pd  0.9298  0.2500  0.1311

Largest 12 diffraction maxima, by intensity, 2θ = 10–90°:
2θ (°), d_spacing, Rel. int.
41.9, 2.156, 100.0
40.2, 2.242, 31.2
39.7, 2.270, 22.4
74.3, 1.277, 17.3
28.0, 3.191, 14.8
57.8, 1.595, 14.4
44.7, 2.026, 10.6
78.0, 1.225, 8.0
63.6, 1.462, 7.4
30.6, 2.925, 6.8
36.5, 2.459, 5.4
38.0, 2.366, 5.2


No. 2
For LiPmYMn, a cell relaxed with GGA-PBE gives the calculated XRD peak list in this record (Cu Ka).
No peak broadening, texture or thermal motion is included.

Structure:
abc: 5.1181 5.1181 5.1181
angles: 60.00 60.00 60.00
Fractional positions:
Li  0.0000  0.0000  0.0000
Pm  0.2500  0.2500  0.2500
Y  0.7500  0.7500  0.7500
Mn  0.5000  0.5000  0.5000

Largest 12 diffraction maxima, by intensity, 2θ = 10–90°:
2θ (°), d_spacing, Rel. int.
35.1, 2.559, 100.0
24.6, 3.619, 43.5
62.9, 1.477, 35.1
56.9, 1.618, 17.6
50.4, 1.810, 17.4
21.3, 4.179, 15.2
84.7, 1.144, 15.1
43.3, 2.089, 12.9
74.1, 1.280, 10.7
79.4, 1.206, 8.4
41.4, 2.182, 8.2
89.9, 1.091, 5.2


No. 3
For Li2MnPt5, a cell relaxed with GGA-PBE gives the calculated XRD peak list in this record (Cu Ka).
No peak broadening, texture or thermal motion is included.

Structure:
abc: 6.4823 5.4265 5.2923
angles: 74.41 53.74 51.85
Fractional positions:
Li  0.2479  0.7521  0.2479
Li  0.7521  0.2479  0.7521
Mn  0.3092  0.3092  0.6908
Pt  0.2496  0.2496  0.2504
Pt  0.3069  0.8075  0.6931
Pt  0.7496  0.7496  0.7504
Pt  0.8075  0.3069  0.1925
Pt  0.8104  0.8104  0.1896

Largest 12 diffraction maxima, by intensity, 2θ = 10–90°:
2θ (°), d_spacing, Rel. int.
42.9, 2.109, 100.0
27.5, 3.239, 41.7
40.0, 2.252, 34.6
43.7, 2.070, 26.0
38.6, 2.331, 21.8
74.7, 1.271, 19.7
19.0, 4.661, 16.5
32.2, 2.778, 15.2
37.7, 2.386, 14.4
56.8, 1.620, 14.3
83.1, 1.162, 14.2
21.1, 4.217, 12.0


No. 4
For LiMnPt6, a cell relaxed with GGA-PBE gives the calculated XRD peak list in this record (Cu Ka).
No peak broadening, texture or thermal motion is included.

Structure:
abc: 5.5414 5.5414 3.8778
angles: 90.00 90.00 90.00
Fractional positions:
Li  0.0000  0.0000  0.0000
Mn  0.5000  0.5000  0.0000
Pt  0.0000  0.5000  0.0000
Pt  0.2494  0.2494  0.5000
Pt  0.2494  0.7506  0.5000
Pt  0.5000  0.0000  0.0000
Pt  0.7506  0.2494  0.5000
Pt  0.7506  0.7506  0.5000

Largest 12 diffraction maxima, by intensity, 2θ = 10–90°:
2θ (°), d_spacing, Rel. int.
40.0, 2.254, 100.0
46.3, 1.959, 33.0
81.6, 1.180, 26.0
68.0, 1.378, 21.2
46.9, 1.939, 16.0
22.7, 3.918, 14.9
82.3, 1.171, 12.7
32.5, 2.756, 12.3
86.3, 1.127, 11.5
67.6, 1.385, 10.8
22.9, 3.878, 7.3
32.3, 2.771, 6.2


No. 5
For LiMn3Rh4, a cell relaxed with GGA-PBE gives the calculated XRD peak list in this record (Cu Ka).
No peak broadening, texture or thermal motion is included.

Structure:
abc: 3.0373 4.2239 8.4230
angles: 90.00 90.00 90.00
Fractional positions:
Li  0.0000  0.0000  0.0000
Mn  0.0000  0.0000  0.5000
Mn  0.0000  0.5000  0.2435
Mn  0.0000  0.5000  0.7565
Rh  0.5000  0.0000  0.2501
Rh  0.5000  0.0000  0.7499
Rh  0.5000  0.5000  0.0000
Rh  0.5000  0.5000  0.5000

Largest 12 diffraction maxima, by intensity, 2θ = 10–90°:
2θ (°), d_spacing, Rel. int.
42.5, 2.128, 100.0
42.8, 2.112, 24.4
43.0, 2.106, 24.1
30.0, 2.982, 23.1
77.4, 1.232, 15.8
78.2, 1.222, 15.4
62.3, 1.491, 15.3
78.4, 1.220, 15.3
29.4, 3.037, 12.1
61.0, 1.519, 8.2
10.5, 8.423, 4.9
52.9, 1.731, 4.9


No. 6
For LiMn6Rh5, a cell relaxed with GGA-PBE gives the calculated XRD peak list in this record (Cu Ka).
No peak broadening, texture or thermal motion is included.

Structure:
abc: 6.8295 6.8295 5.9990
angles: 90.00 90.00 143.15
Fractional positions:
Li  0.0000  0.0000  0.0000
Mn  0.1668  0.8332  0.2492
Mn  0.1668  0.8332  0.7508
Mn  0.5000  0.5000  0.2492
Mn  0.5000  0.5000  0.7508
Mn  0.8332  0.1668  0.2492
Mn  0.8332  0.1668  0.7508
Rh  0.0000  0.0000  0.5000
Rh  0.3355  0.6645  0.0000
Rh  0.3349  0.6651  0.5000
Rh  0.6645  0.3355  0.0000
Rh  0.6651  0.3349  0.5000

Largest 12 diffraction maxima, by intensity, 2θ = 10–90°:
2θ (°), d_spacing, Rel. int.
42.2, 2.140, 100.0
41.8, 2.159, 51.4
76.7, 1.243, 31.7
60.7, 1.527, 16.2
77.5, 1.232, 15.5
61.9, 1.500, 7.6
29.2, 3.054, 6.9
26.3, 3.383, 4.9
13.7, 6.479, 4.8
14.8, 5.999, 4.6
20.2, 4.402, 4.6
21.7, 4.096, 4.3


No. 7
For LiMnTcRh, a cell relaxed with GGA-PBE gives the calculated XRD peak list in this record (Cu Ka).
No peak broadening, texture or thermal motion is included.

Structure:
abc: 4.1789 4.1789 4.1789
angles: 60.00 60.00 60.00
Fractional positions:
Li  0.0000  0.0000  0.0000
Mn  0.5000  0.5000  0.5000
Tc  0.7500  0.7500  0.7500
Rh  0.2500  0.2500  0.2500

Largest 10 diffraction maxima, by intensity, 2θ = 10–90°:
2θ (°), d_spacing, Rel. int.
43.3, 2.089, 100.0
30.2, 2.955, 40.0
79.4, 1.206, 31.5
62.9, 1.477, 15.8
71.4, 1.321, 13.6
53.7, 1.706, 10.6
26.1, 3.412, 10.0
51.3, 1.782, 4.2
69.3, 1.356, 1.5
85.3, 1.137, 1.1


No. 8
For LiMnZn2Rh, a cell relaxed with GGA-PBE gives the calculated XRD peak list in this record (Cu Ka).
No peak broadening, texture or thermal motion is included.

Structure:
abc: 4.1934 4.1934 4.2025
angles: 90.00 90.00 90.00
Fractional positions:
Li  0.0000  0.0000  0.0000
Mn  0.5000  0.5000  0.5000
Zn  0.0000  0.5000  0.0000
Zn  0.5000  0.0000  0.0000
Rh  0.0000  0.0000  0.5000

Largest 12 diffraction maxima, by intensity, 2θ = 10–90°:
2θ (°), d_spacing, Rel. int.
37.1, 2.423, 100.0
43.1, 2.098, 51.9
62.6, 1.484, 32.4
75.1, 1.265, 22.9
75.0, 1.267, 11.5
79.0, 1.211, 10.6
21.2, 4.194, 7.3
30.1, 2.968, 4.4
48.5, 1.877, 3.3
53.5, 1.713, 1.8
66.9, 1.399, 1.3
86.8, 1.122, 0.6


No. 9
For LiMn4S8, a cell relaxed with GGA-PBE gives the calculated XRD peak list in this record (Cu Ka).
No peak broadening, texture or thermal motion is included.

Structure:
abc: 6.9125 6.9125 6.9125
angles: 60.00 60.00 60.00
Fractional positions:
Li  0.0000  0.0000  0.0000
Mn  0.3772  0.3772  0.3772
Mn  0.3772  0.3772  0.8684
Mn  0.3772  0.8684  0.3772
Mn  0.8684  0.3772  0.3772
S  0.1365  0.1365  0.1365
S  0.1365  0.1365  0.5904
S  0.1365  0.5904  0.1365
S  0.1533  0.6156  0.6156
S  0.5904  0.1365  0.1365
S  0.6156  0.1533  0.6156
S  0.6156  0.6156  0.1533
S  0.6156  0.6156  0.6156

Largest 12 diffraction maxima, by intensity, 2θ = 10–90°:
2θ (°), d_spacing, Rel. int.
36.8, 2.444, 100.0
15.7, 5.644, 99.2
53.0, 1.728, 63.1
30.3, 2.947, 35.2
48.4, 1.881, 23.9
89.7, 1.093, 23.4
66.2, 1.411, 18.8
55.6, 1.652, 17.1
68.6, 1.369, 10.6
78.2, 1.222, 8.7
40.2, 2.243, 6.4
74.6, 1.273, 6.1


No. 10
For LiMn5S8, a cell relaxed with GGA-PBE gives the calculated XRD peak list in this record (Cu Ka).
No peak broadening, texture or thermal motion is included.

Structure:
abc: 6.8187 6.8187 6.8187
angles: 60.00 60.00 60.00
Fractional positions:
Li  0.0000  0.0000  0.0000
Mn  0.3596  0.3596  0.3596
Mn  0.3596  0.3596  0.9211
Mn  0.3596  0.9211  0.3596
Mn  0.7500  0.7500  0.7500
Mn  0.9211  0.3596  0.3596
S  0.1312  0.1312  0.1312
S  0.1312  0.1312  0.6065
S  0.1312  0.6065  0.1312
S  0.1644  0.6119  0.6119
S  0.6065  0.1312  0.1312
S  0.6119  0.1644  0.6119
S  0.6119  0.6119  0.1644
S  0.6119  0.6119  0.6119

Largest 12 diffraction maxima, by intensity, 2θ = 10–90°:
2θ (°), d_spacing, Rel. int.
37.3, 2.411, 100.0
53.8, 1.705, 97.4
30.8, 2.908, 84.0
15.9, 5.567, 69.2
49.1, 1.856, 62.8
18.4, 4.822, 26.7
26.1, 3.409, 18.3
46.1, 1.968, 17.0
67.3, 1.392, 15.9
40.8, 2.212, 14.8
75.8, 1.255, 14.1
69.6, 1.350, 11.9


No. 11
For Li2MnS2, a cell relaxed with GGA-PBE gives the calculated XRD peak list in this record (Cu Ka).
No peak broadening, texture or thermal motion is included.

Structure:
abc: 6.4783 6.4155 6.1216
angles: 62.17 61.14 56.69
Fractional positions:
Li  0.0190  0.0190  0.7310
Li  0.2690  0.2690  0.9810
Li  0.7310  0.7310  0.0190
Li  0.9810  0.9810  0.2690
Mn  0.3750  0.3750  0.3750
Mn  0.6250  0.6250  0.6250
S  0.1102  0.6398  0.1102
S  0.3602  0.8898  0.3602
S  0.6398  0.1102  0.6398
S  0.8898  0.3602  0.8898

Largest 12 diffraction maxima, by intensity, 2θ = 10–90°:
2θ (°), d_spacing, Rel. int.
28.0, 3.189, 100.0
17.2, 5.154, 41.9
50.6, 1.804, 30.4
33.8, 2.652, 18.7
37.7, 2.389, 18.7
41.3, 2.188, 18.1
42.2, 2.141, 18.1
31.7, 2.825, 17.1
43.4, 2.086, 13.4
60.5, 1.530, 10.6
62.2, 1.493, 9.8
77.4, 1.233, 9.4


No. 12
For Li2MnSnS4, a cell relaxed with GGA-PBE gives the calculated XRD peak list in this record (Cu Ka).
No peak broadening, texture or thermal motion is included.

Structure:
abc: 13.7425 8.0465 6.4829
angles: 90.00 90.00 90.00
Fractional positions:
Li  0.0804  0.2477  0.0000
Li  0.1650  0.9976  0.4978
Li  0.3350  0.4976  0.9978
Li  0.4196  0.7477  0.5000
Li  0.5804  0.2523  0.0000
Li  0.6650  0.5024  0.4978
Li  0.8350  0.0024  0.9978
Li  0.9196  0.7523  0.5000
Mn  0.1657  0.4937  0.4972
Mn  0.3343  0.9937  0.9972
Mn  0.6657  0.0063  0.4972
Mn  0.8343  0.5063  0.9972
Sn  0.0856  0.7431  0.9965
Sn  0.4144  0.2431  0.4965
Sn  0.5856  0.7569  0.9965
Sn  0.9144  0.2569  0.4965
S  0.0813  0.2492  0.6183
S  0.0893  0.7419  0.6211
S  0.1674  0.4970  0.1254
S  0.1680  0.9923  0.1176
S  0.3320  0.4923  0.6176
S  0.3326  0.9970  0.6254
S  0.4107  0.2419  0.1211
S  0.4187  0.7492  0.1183
S  0.5813  0.2508  0.6183
S  0.5893  0.7581  0.6211
S  0.6674  0.0030  0.1254
S  0.6680  0.5077  0.1176
S  0.8320  0.0077  0.6176
S  0.8326  0.5030  0.6254
S  0.9107  0.2581  0.1211
S  0.9187  0.7508  0.1183

Largest 12 diffraction maxima, by intensity, 2θ = 10–90°:
2θ (°), d_spacing, Rel. int.
17.6, 5.048, 100.0
17.0, 5.225, 80.2
25.7, 3.472, 73.9
27.5, 3.241, 67.6
45.6, 1.990, 60.4
49.7, 1.835, 60.1
29.2, 3.061, 56.1
18.8, 4.729, 42.1
25.9, 3.436, 42.0
54.1, 1.696, 37.8
45.1, 2.011, 34.9
32.5, 2.754, 31.5